1.
This entry pairs a crystal structure of K3InCl4 with its computed XRD peak list. Radiation: Cu Kα (λ = 1.5418 Å). Structure: DFT lattice parameters and positions (PBE).
Neutral-atom scattering factors, no anomalous dispersion.

The 8 most intense peaks (10 to 90 degrees two-theta), by angle:
| two_theta | I_rel | h k l |
| --- | --- | --- |
| 18.9 | 100 | 2 1 0 |
| 19.1 | 52 | 0 2 0 |
| 28.2 | 72 | 0 0 2 |
| 33.0 | 46 | 4 0 0 |
| 33.2 | 99 | 2 3 0 |
| 34.2 | 62 | 0 2 2 |
| 44.0 | 40 | 4 0 2 |
| 44.1 | 77 | 2 3 2 |

Cell and atoms:
Unit cell a=10.8421 b=9.3163 c=6.3395 alpha=90.00 beta=90.00 gamma=90.00
Space group Pmn2_1 (No. 31)
Asymmetric unit:
K (0.0000, 0.1636, 0.0002) [2 per cell]
K (0.2502, 0.3317, 0.5000) [4 per cell]
In (0.0000, 0.8307, 0.5033) [2 per cell]
Cl (0.0000, 0.1666, 0.4998) [2 per cell]
Cl (0.0000, 0.8309, 0.0340) [2 per cell]
Cl (0.2467, 0.3340, 0.9997) [4 per cell]

=====

2.
This entry pairs a crystal structure of PmDy3Er2 with its computed XRD peak list. Radiation: Cu Kα (λ = 1.5418 Å). Structure: DFT lattice parameters and positions (PBE).
Neutral-atom scattering factors, no anomalous dispersion.

The 8 most intense peaks (10 to 90 degrees two-theta), by angle:
| two_theta | I_rel | h k l |
| --- | --- | --- |
| 29.1 | 36 | 2 2 1 |
| 31.3 | 51 | 0 0 3 |
| 32.1 | 100 | 0 2 -1 |
| 33.8 | 91 | 0 2 2 |
| 51.1 | 39 | 4 2 1 |
| 55.2 | 21 | 0 2 -4 |
| 58.5 | 20 | 0 2 5 |
| 61.2 | 38 | 4 2 4 |

Cell and atoms:
Unit cell a=7.1446 b=7.1499 c=8.8070 alpha=78.25 beta=78.27 gamma=60.08
Space group P-1 (No. 2)
Asymmetric unit:
Pm (0.2497, 0.2503, 0.0008) [2 per cell]
Dy (0.1391, 0.1391, 0.6649) [2 per cell]
Dy (0.2505, 0.7496, 0.9995) [2 per cell]
Dy (0.3607, 0.8605, 0.3359) [2 per cell]
Er (0.1398, 0.6387, 0.6643) [2 per cell]
Er (0.3606, 0.3617, 0.3349) [2 per cell]